The following is a theoretical X-ray diffraction stick pattern of BaSbPt. It was derived from the PBE geometry in the Materials Project, using Cu Ka.
Peak positions follow from Bragg's law for the DFT cell and can differ from measured ones.

Crystal structure
```
BaSbPt
1.0
4.6101 0.0000 0.0000
-2.3050 3.9924 0.0000
0.0000 0.0000 4.9690
Ba Sb Pt
1 1 1
Cartesian
0.0000 0.0000 0.0000
2.3050 1.3308 2.4845
0.0000 2.6616 2.4845
```

Largest 12 diffraction maxima, by angle, 15° ≤ 2θ ≤ 90°:
d/Å	Rel. int.
4.969	19.6
3.112	100.0
2.484	20.6
2.305	49.8
2.091	12.6
1.852	22.6
1.690	38.3
1.530	12.2
1.444	20.1
1.173	11.8
1.115	9.1
1.094	9.9